1.
Structure and calculated powder diffraction line list of PmTlPb3 (a GGA-PBE-relaxed structure; λ = 1.5418 Å (Cu Kα)).
Peak positions follow from Bragg's law for the DFT cell and can differ from measured ones.

Cell and atoms:
```
10
Lattice="5.3037 -5.4391 0.0000 5.3037 5.4391 0.0000 0.0000 0.0000 5.9943" Properties=species:S:1:pos:R:3 pbc="T T T"
Pm 5.3037 2.9429 4.4957
Pm 5.3037 -2.9429 1.4986
Tl 5.3037 4.6857 1.4986
Tl 5.3037 -4.6857 4.4957
Pb 3.2748 2.1978 1.4986
Pb 7.3325 2.1978 1.4986
Pb 5.3037 0.0000 0.0000
Pb 5.3037 0.0000 2.9972
Pb 3.2748 -2.1978 4.4957
Pb 7.3325 -2.1978 4.4957
```

Most intense lines, 5 to 70 degrees two-theta, low angle first:
- d = 5.304 Å, 16.72 deg, intensity 36
- d = 3.797 Å, 23.43 deg, intensity 100
- d = 3.208 Å, 27.81 deg, intensity 56
- d = 2.997 Å, 29.81 deg, intensity 44
- d = 2.933 Å, 30.48 deg, intensity 92
- d = 2.788 Å, 32.11 deg, intensity 62
- d = 2.652 Å, 33.80 deg, intensity 36
- d = 2.625 Å, 34.16 deg, intensity 63
- d = 2.531 Å, 35.46 deg, intensity 45
- d = 2.477 Å, 36.27 deg, intensity 74
- d = 2.332 Å, 38.61 deg, intensity 90
- d = 2.237 Å, 40.31 deg, intensity 69



2.
Structure and calculated powder diffraction line list of Sm2AlSbPt6 (a GGA-PBE-relaxed structure; λ = 1.5418 Å (Cu Kα)).
Peak positions follow from Bragg's law for the DFT cell and can differ from measured ones.

Cell and atoms:
```
10
Lattice="5.5163 0.0000 0.0000 2.7447 5.9916 0.0000 2.7502 0.9082 5.9490" Properties=species:S:1:pos:R:3 pbc="T T T"
Sm 1.3739 1.7285 1.4691
Sm 9.6373 5.1712 4.4799
Al 4.1305 2.9958 0.0000
Sb 4.1332 0.4541 2.9745
Pt 2.7643 4.3282 1.7785
Pt 6.8736 6.3381 5.5694
Pt 5.5176 2.5772 4.1738
Pt 5.4936 4.3226 1.7752
Pt 4.1375 0.5617 0.3796
Pt 8.2469 2.5715 4.1705
```

Most intense lines, 5 to 70 degrees two-theta, low angle first:
- d = 4.555 Å, 19.49 deg, intensity 59
- d = 3.013 Å, 29.65 deg, intensity 24
- d = 2.660 Å, 33.69 deg, intensity 31
- d = 2.508 Å, 35.80 deg, intensity 100
- d = 2.501 Å, 35.91 deg, intensity 76
- d = 2.359 Å, 38.14 deg, intensity 75
- d = 2.278 Å, 39.57 deg, intensity 40
- d = 2.254 Å, 40.00 deg, intensity 80
- d = 2.204 Å, 40.95 deg, intensity 43
- d = 2.196 Å, 41.10 deg, intensity 42
- d = 2.022 Å, 44.82 deg, intensity 33
- d = 1.975 Å, 45.96 deg, intensity 22



3.
Structure and calculated powder diffraction line list of CrRuAu2 (a GGA-PBE-relaxed structure; λ = 1.5418 Å (Cu Kα)).
Peak positions follow from Bragg's law for the DFT cell and can differ from measured ones.

Cell and atoms:
```
4
Lattice="2.7615 -3.8985 0.0000 2.7615 3.8985 0.0000 0.0000 0.0000 2.9960" Properties=species:S:1:pos:R:3 pbc="T T T"
Cr 0.0000 0.0000 0.0000
Ru 2.7615 0.0000 0.0000
Au 1.3807 1.9493 1.4980
Au 1.3807 -1.9493 1.4980
```

Most intense lines, 5 to 70 degrees two-theta, low angle first:
- d = 3.899 Å, 22.81 deg, intensity 32
- d = 2.996 Å, 29.82 deg, intensity 17
- d = 2.761 Å, 32.42 deg, intensity 14
- d = 2.376 Å, 37.87 deg, intensity 100
- d = 2.253 Å, 40.01 deg, intensity 86
- d = 2.031 Å, 44.63 deg, intensity 63
- d = 1.949 Å, 46.59 deg, intensity 28
- d = 1.801 Å, 50.69 deg, intensity 17
- d = 1.634 Å, 56.31 deg, intensity 6
- d = 1.498 Å, 61.94 deg, intensity 12
- d = 1.406 Å, 66.49 deg, intensity 38
- d = 1.381 Å, 67.88 deg, intensity 9